Diffraction record for Pr2SmCu2Ge2. The powder diffraction line list is theoretical, not measured: it uses a structure optimized by DFT (GGA-PBE) and a wavelength of 1.5418 Å.
Kinematic intensities with the Lorentz-polarization factor, no thermal factor.

Top 12 peaks for 15 to 90 degrees two-theta, by angle:
| Position (°2θ) | I (rel.) |
| --- | --- |
| 24.08 | 33 |
| 31.35 | 68 |
| 33.32 | 100 |
| 37.68 | 18 |
| 42.05 | 79 |
| 53.37 | 15 |
| 54.68 | 24 |
| 62.20 | 26 |
| 69.83 | 15 |
| 70.17 | 13 |
| 71.29 | 22 |
| 76.83 | 13 |

Cell and atoms:
Unit cell a=10.6643 b=10.6643 c=10.6643 alpha=23.25 beta=23.25 gamma=23.25
Element x y z (fractional)
Pr: 0.1221 0.1221 0.1221
Pr: 0.8779 0.8779 0.8779
Sm: 0.0000 0.0000 0.0000
Cu: 0.3930 0.3930 0.3930
Cu: 0.6070 0.6070 0.6070
Ge: 0.2714 0.2714 0.2714
Ge: 0.7286 0.7286 0.7286